This entry pairs a crystal structure of Rb2Fe4O7 with its calculated powder diffractogram. Radiation: Cu Kα (λ = 1.5418 Å). Structure: a crystal structure in Alexandria, relaxed with GGA+U.
Kinematic intensities with the Lorentz-polarization factor, no thermal factor.

Peak list (10 most intense, 2θ = 10–90°, by angle)
index, d_spacing, 2θ (°), I/Imax
0 0 2, 3.487, 25.5, 13.4
1 0 2, 2.763, 32.4, 92.6
1 1 0, 2.615, 34.3, 100.0
1 1 1, 2.448, 36.7, 12.6
2 -1 2, 2.092, 43.3, 36.4
2 0 2, 1.899, 47.9, 31.7
3 -1 2, 1.536, 60.2, 29.9
3 0 0, 1.510, 61.4, 29.8
1 1 4, 1.450, 64.2, 37.8
3 1 2, 1.182, 81.4, 11.6

Structural model:
```
data_Rb2Fe4O7
_chemical_formula_sum 'Rb2 Fe4 O7'
_symmetry_space_group_name_H-M 'P -3 1 m'
_symmetry_Int_Tables_number 162
_symmetry_space_group_name_Hall '-P 3 2'
_cell_length_a 5.2291
_cell_length_b 5.2291
_cell_length_c 6.9732
_cell_angle_alpha 90.00
_cell_angle_beta 90.00
_cell_angle_gamma 120.00
loop_
_atom_site_label
_atom_site_type_symbol
_atom_site_fract_x
_atom_site_fract_y
_atom_site_fract_z
_atom_site_occupancy
Rb1 Rb 0.3333 0.6667 0.0000 1
Fe1 Fe 0.0000 0.0000 0.2782 1
Fe2 Fe 0.3333 0.6667 0.5000 1
O1 O 0.0000 0.0000 0.0000 1
O2 O 0.0000 0.3553 0.6524 1
```